# 1
Starting from a structure optimized by DFT (GGA-PBE), the powder XRD pattern of LiCuPO4 was computed for CuKα.
Peak positions follow from Bragg's law for the DFT cell and can differ from measured ones.

Structural model:
Cell lengths 4.9298, 4.9221, 8.5672 Å; angles 90.00, 124.71, 90.00 degrees
Space group Pc (No. 7)
Symmetry-distinct sites (fractional):
Li1 0.0000 0.1806 0.0000 [2 per cell]
Cu1 0.4794 0.2105 0.4988 [2 per cell]
P1 0.7607 0.3111 0.2493 [2 per cell]
O1 0.0703 0.2432 0.2493 [2 per cell]
O2 0.4541 0.1859 0.0681 [2 per cell]
O3 0.7149 0.3748 0.7478 [2 per cell]
O4 0.8205 0.1975 0.4352 [2 per cell]

Peak list (6 most intense, 5° ≤ 2θ ≤ 70°, sorted by position)
d 4.053, intensity 26, hkl 1 0 0; d 4.031, intensity 100, hkl 1 0 -2; d 2.483, intensity 13, hkl 1 1 1; d 2.467, intensity 34, hkl 2 0 -2; d 2.461, intensity 20, hkl 0 2 0; d 2.100, intensity 17, hkl 2 1 -3


# 2
Starting from a structure optimized by DFT (GGA-PBE), the powder XRD pattern of La2Ag2O5 was computed for CuKα.
Peak positions follow from Bragg's law for the DFT cell and can differ from measured ones.

Structural model:
Cell lengths 16.2882, 6.1285, 5.7466 Å; angles 90.00, 90.00, 90.00 degrees
Space group Ima2 (No. 46)
Symmetry-distinct sites (fractional):
La1 0.1171 0.0143 0.0000 [8 per cell]
Ag1 0.0000 0.0000 0.5257 [4 per cell]
Ag2 0.2500 0.5426 0.9921 [4 per cell]
O1 0.0339 0.7400 0.7670 [8 per cell]
O2 0.1279 0.1093 0.5787 [8 per cell]
O3 0.2500 0.5752 0.5527 [4 per cell]

Peak list (6 most intense, 5° ≤ 2θ ≤ 70°, sorted by position)
d 3.064, intensity 30, hkl 0 2 0; d 2.921, intensity 100, hkl 4 1 1; d 2.874, intensity 31, hkl 0 0 2; d 2.096, intensity 25, hkl 0 2 2; d 1.740, intensity 22, hkl 4 3 1; d 1.668, intensity 20, hkl 4 1 3


# 3
Starting from a structure optimized by DFT (GGA-PBE), the powder XRD pattern of YTmCu2 was computed for CuKα.
Peak positions follow from Bragg's law for the DFT cell and can differ from measured ones.

Structural model:
Cell lengths 6.8595, 6.8595, 6.8595 Å; angles 90.00, 90.00, 90.00 degrees
Space group Fm-3m (No. 225)
Symmetry-distinct sites (fractional):
Y1 0.0000 0.0000 0.0000 [4 per cell]
Tm1 0.0000 0.0000 0.5000 [4 per cell]
Cu1 0.2500 0.2500 0.2500 [8 per cell]

Peak list (6 most intense, 5° ≤ 2θ ≤ 70°, sorted by position)
d 3.960, intensity 9, hkl 1 1 1; d 3.430, intensity 11, hkl 2 0 0; d 2.425, intensity 100, hkl 2 2 0; d 2.068, intensity 5, hkl 3 1 1; d 1.715, intensity 17, hkl 4 0 0; d 1.400, intensity 34, hkl 4 2 2


# 4
Starting from a structure optimized by DFT (GGA-PBE), the powder XRD pattern of Tl4Bi was computed for CuKα.
Peak positions follow from Bragg's law for the DFT cell and can differ from measured ones.

Structural model:
Cell lengths 3.4982, 3.4982, 44.6845 Å; angles 90.00, 90.00, 120.00 degrees
Space group R-3m (No. 166, hexagonal axes)
Symmetry-distinct sites (fractional):
Tl1 0.0000 0.0000 0.1002 [6 per cell]
Tl2 0.0000 0.0000 0.2998 [6 per cell]
Bi1 0.0000 0.0000 0.5000 [3 per cell]

Peak list (6 most intense, 5° ≤ 2θ ≤ 70°, sorted by position)
d 2.979, intensity 37, hkl 0 0 15; d 2.869, intensity 100, hkl 0 1 5; d 2.508, intensity 70, hkl 1 0 10; d 1.798, intensity 26, hkl 0 1 20; d 1.749, intensity 24, hkl 1 1 0; d 1.508, intensity 30, hkl 1 1 15


# 5
Starting from a structure optimized by DFT (GGA-PBE), the powder XRD pattern of Mg16Al12Hg was computed for CuKα.
Peak positions follow from Bragg's law for the DFT cell and can differ from measured ones.

Structural model:
Cell lengths 10.5128, 14.6778, 9.1060 Å; angles 90.00, 123.73, 90.00 degrees
Space group Cm (No. 8)
Symmetry-distinct sites (fractional):
Mg1 0.0000 0.0000 0.0000 [2 per cell]
Mg2 0.0034 0.0000 0.3450 [2 per cell]
Mg3 0.0621 0.3441 0.4039 [4 per cell]
Mg4 0.1531 0.5000 0.6697 [2 per cell]
Mg5 0.1593 0.1583 0.6040 [4 per cell]
Mg6 0.1759 0.1758 0.9971 [4 per cell]
Mg7 0.1927 0.5000 0.2963 [2 per cell]
Mg8 0.3059 0.2990 0.3225 [4 per cell]
Mg9 0.4644 0.1365 0.0024 [4 per cell]
Mg10 0.4892 0.1932 0.6877 [4 per cell]
Al1 0.0079 0.1855 0.1890 [4 per cell]
Al2 0.1826 0.0000 0.8230 [2 per cell]
Al3 0.2365 0.4079 0.0135 [4 per cell]
Al4 0.2757 0.0942 0.3618 [4 per cell]
Al5 0.3214 0.3142 0.8214 [4 per cell]
Al6 0.3702 0.0000 0.1797 [2 per cell]
Al7 0.4096 0.4066 0.6376 [4 per cell]
Hg1 0.3803 0.0000 0.6998 [2 per cell]

Peak list (6 most intense, 5° ≤ 2θ ≤ 70°, sorted by position)
d 7.533, intensity 93, hkl 0 0 1; d 7.361, intensity 100, hkl 0 2 0; d 4.270, intensity 54, hkl 1 3 0; d 2.503, intensity 62, hkl 4 0 -1; d 2.474, intensity 89, hkl 4 2 -2; d 2.459, intensity 83, hkl 3 3 -3